# La2MnBe3Ni12
Simulated X-ray powder pattern, Cu Ka. Input: a cell relaxed with GGA-PBE.
Neutral-atom scattering factors, no anomalous dispersion.

Structure:
```
data_La2MnBe3Ni12
_cell_length_a 7.5000
_cell_length_b 7.5000
_cell_length_c 15.9634
_cell_angle_alpha 90.00
_cell_angle_beta 90.00
_cell_angle_gamma 120.00
_space_group_name_H-M_alt 'R -3 m'
_space_group_IT_number 166
_space_group_name_Hall '-R 3 2"'
loop_
_atom_site_label
_atom_site_type_symbol
_atom_site_fract_x
_atom_site_fract_y
_atom_site_fract_z
_atom_site_occupancy
La1 La 0.0000 0.0000 0.1086 1
Mn1 Mn 0.0000 0.0000 0.5000 1
Be1 Be 0.0000 0.5000 0.0000 1
Ni1 Ni 0.0108 0.5054 0.8717 1
Ni2 Ni 0.0474 0.5237 0.3652 1
```

Peak list (6 most intense, 10 to 90 degrees two-theta, in order of rising 2θ)
- (0 1 5), 2.865 Å, 2θ 31.22, I 22.2
- (0 2 4), 2.519 Å, 2θ 35.64, I 100.0
- (1 2 2), 2.346 Å, 2θ 38.36, I 17.8
- (2 2 0), 1.875 Å, 2θ 48.55, I 50.9
- (2 0 8), 1.700 Å, 2θ 53.93, I 31.7
- (4 0 4), 1.504 Å, 2θ 61.67, I 14.9